For Li2ScGa4, a GGA-PBE-relaxed structure gives the theoretical powder diffraction line list in this record (a wavelength of 1.5418 Å).

Structural model:
Lattice parameters (Å, degrees): 3.189 4.265 18.201 90.00 90.00 90.00
Positions (direct):
Li1 0.000 0.000 0.202
Li2 0.000 0.000 0.798
Li3 0.500 0.500 0.298
Li4 0.500 0.500 0.702
Sc1 0.000 0.500 0.000
Sc2 0.500 0.000 0.500
Ga1 0.000 0.000 0.351
Ga2 0.000 0.000 0.649
Ga3 0.000 0.500 0.430
Ga4 0.000 0.500 0.570
Ga5 0.500 0.000 0.070
Ga6 0.500 0.000 0.930
Ga7 0.500 0.500 0.149
Ga8 0.500 0.500 0.851

Principal peaks in the range 2θ from 10° to 90°, by angle:
2theta, intensity
25.53, 43
28.41, 67
31.70, 34
36.54, 83
40.50, 30
40.64, 100
42.38, 46
46.48, 48
57.84, 30
73.06, 33

---

For Bi4C, a GGA-PBE-relaxed structure gives the theoretical powder diffraction line list in this record (a wavelength of 1.5418 Å).

Structural model:
Lattice parameters (Å, degrees): 5.103 5.103 5.103 90.00 90.00 90.00
Positions (direct):
Bi1 0.000 0.000 0.000
Bi2 0.000 0.500 0.500
Bi3 0.500 0.000 0.500
Bi4 0.500 0.500 0.000
C1 0.500 0.500 0.500

Principal peaks in the range 2θ from 10° to 90°, by angle:
2theta, intensity
30.34, 100
35.17, 54
50.59, 39
60.14, 46
63.11, 14
74.36, 7
82.38, 20
85.01, 19

---

For K2Li2SnBr6, a GGA-PBE-relaxed structure gives the theoretical powder diffraction line list in this record (a wavelength of 1.5418 Å).

Structural model:
Lattice parameters (Å, degrees): 7.758 7.758 8.204 112.51 112.51 62.37
Positions (direct):
K1 0.215 0.215 0.156
K2 0.785 0.785 0.844
Li1 0.443 0.443 0.733
Li2 0.557 0.557 0.267
Sn1 0.000 0.000 0.500
Br1 0.188 0.683 0.195
Br2 0.240 0.240 0.570
Br3 0.317 0.812 0.805
Br4 0.683 0.188 0.195
Br5 0.760 0.760 0.430
Br6 0.812 0.317 0.805

Principal peaks in the range 2θ from 10° to 90°, by angle:
2theta, intensity
13.31, 33
24.60, 51
25.28, 47
26.86, 100
31.45, 40
32.20, 30
33.07, 40
36.77, 35
43.91, 25
53.34, 25

---

For Na3Tl4AgI8, a GGA-PBE-relaxed structure gives the theoretical powder diffraction line list in this record (a wavelength of 1.5418 Å).

Structural model:
Lattice parameters (Å, degrees): 9.442 9.442 9.669 119.28 119.28 59.88
Positions (direct):
Na1 0.000 0.000 0.000
Na2 0.000 0.500 0.000
Na3 0.500 0.000 0.000
Tl1 0.000 0.000 0.500
Tl2 0.000 0.500 0.500
Tl3 0.500 0.000 0.500
Tl4 0.500 0.500 0.500
Ag1 0.500 0.500 0.000
I1 0.241 0.241 0.223
I2 0.249 0.734 0.218
I3 0.264 0.264 0.781
I4 0.266 0.751 0.782
I5 0.734 0.249 0.218
I6 0.736 0.736 0.219
I7 0.751 0.266 0.782
I8 0.759 0.759 0.777

Principal peaks in the range 2θ from 10° to 90°, by angle:
2theta, intensity
22.07, 18
26.41, 100
28.72, 18
37.24, 36
38.15, 39
47.00, 21
51.79, 11
54.37, 12
60.80, 14
62.03, 12

---

For BaCu3S3, a GGA-PBE-relaxed structure gives the theoretical powder diffraction line list in this record (a wavelength of 1.5418 Å).

Structural model:
Lattice parameters (Å, degrees): 6.517 6.517 6.517 90.00 90.00 90.00
Positions (direct):
Ba1 0.000 0.000 0.000
Ba2 0.500 0.500 0.500
Cu1 0.000 0.250 0.500
Cu2 0.000 0.750 0.500
Cu3 0.250 0.500 0.000
Cu4 0.500 0.000 0.250
Cu5 0.500 0.000 0.750
Cu6 0.750 0.500 0.000
S1 0.000 0.500 0.250
S2 0.000 0.500 0.750
S3 0.250 0.000 0.500
S4 0.500 0.250 0.000
S5 0.500 0.750 0.000
S6 0.750 0.000 0.500

Principal peaks in the range 2θ from 10° to 90°, by angle:
2theta, intensity
27.37, 44
30.68, 12
33.69, 100
48.39, 6
52.55, 54
56.49, 18
63.88, 15
67.41, 12
80.78, 15
84.01, 11

---

For CsRb4Na4, a GGA-PBE-relaxed structure gives the theoretical powder diffraction line list in this record (a wavelength of 1.5418 Å).

Structural model:
Lattice parameters (Å, degrees): 9.312 9.312 14.412 90.00 90.00 90.00
Positions (direct):
Cs1 0.250 0.250 0.250
Cs2 0.750 0.750 0.750
Rb1 0.004 0.657 0.134
Rb2 0.157 0.996 0.634
Rb3 0.343 0.504 0.634
Rb4 0.496 0.843 0.134
Rb5 0.504 0.157 0.866
Rb6 0.657 0.496 0.366
Rb7 0.843 0.004 0.366
Rb8 0.996 0.343 0.866
Na1 0.093 0.633 0.423
Na2 0.133 0.907 0.923
Na3 0.367 0.593 0.923
Na4 0.407 0.867 0.423
Na5 0.593 0.133 0.577
Na6 0.633 0.407 0.077
Na7 0.867 0.093 0.077
Na8 0.907 0.367 0.577

Principal peaks in the range 2θ from 10° to 90°, by angle:
2theta, intensity
18.25, 22
20.81, 33
22.22, 100
24.69, 41
28.36, 18
30.35, 33
36.98, 17
39.55, 28
43.48, 19
49.35, 17

---

For Cs2CaO2, a GGA-PBE-relaxed structure gives the theoretical powder diffraction line list in this record (a wavelength of 1.5418 Å).

Structural model:
Lattice parameters (Å, degrees): 11.416 6.949 6.519 90.00 90.00 90.00
Positions (direct):
Cs1 0.158 0.117 0.083
Cs2 0.158 0.883 0.583
Cs3 0.342 0.383 0.583
Cs4 0.342 0.617 0.083
Cs5 0.658 0.383 0.917
Cs6 0.658 0.617 0.417
Cs7 0.842 0.117 0.417
Cs8 0.842 0.883 0.917
Ca1 0.000 0.481 0.750
Ca2 0.000 0.519 0.250
Ca3 0.500 0.019 0.250
Ca4 0.500 0.981 0.750
O1 0.095 0.328 0.487
O2 0.095 0.672 0.987
O3 0.405 0.172 0.987
O4 0.405 0.828 0.487
O5 0.595 0.172 0.513
O6 0.595 0.828 0.013
O7 0.905 0.328 0.013
O8 0.905 0.672 0.513

Principal peaks in the range 2θ from 10° to 90°, by angle:
2theta, intensity
24.36, 50
26.71, 87
28.48, 48
29.12, 25
30.18, 100
31.32, 28
34.21, 41
36.73, 24
44.42, 32
49.79, 27

---

For PmSi3Au, a GGA-PBE-relaxed structure gives the theoretical powder diffraction line list in this record (a wavelength of 1.5418 Å).

Structural model:
Lattice parameters (Å, degrees): 11.061 11.061 4.247 90.00 90.00 157.82
Positions (direct):
Pm1 0.171 0.829 0.000
Pm2 0.829 0.171 0.000
Si1 0.054 0.946 0.500
Si2 0.274 0.726 0.500
Si3 0.446 0.554 0.000
Si4 0.554 0.446 0.000
Si5 0.726 0.274 0.500
Si6 0.946 0.054 0.500
Au1 0.387 0.613 0.500
Au2 0.613 0.387 0.500

Principal peaks in the range 2θ from 10° to 90°, by angle:
2theta, intensity
16.33, 63
29.39, 45
30.01, 39
32.24, 100
32.51, 34
39.40, 25
42.53, 49
43.11, 35
45.84, 20
62.19, 24

---

For NaHfGaBr6, a GGA-PBE-relaxed structure gives the theoretical powder diffraction line list in this record (a wavelength of 1.5418 Å).

Structural model:
Lattice parameters (Å, degrees): 7.322 7.322 13.171 90.00 90.00 120.00
Positions (direct):
Na1 0.333 0.667 0.250
Na2 0.667 0.333 0.750
Hf1 0.333 0.667 0.750
Hf2 0.667 0.333 0.250
Ga1 0.000 0.000 0.000
Ga2 0.000 0.000 0.500
Br1 0.037 0.378 0.634
Br2 0.037 0.659 0.866
Br3 0.341 0.378 0.866
Br4 0.341 0.963 0.634
Br5 0.378 0.037 0.134
Br6 0.378 0.341 0.366
Br7 0.622 0.659 0.634
Br8 0.622 0.963 0.866
Br9 0.659 0.037 0.366
Br10 0.659 0.622 0.134
Br11 0.963 0.341 0.134
Br12 0.963 0.622 0.366

Principal peaks in the range 2θ from 10° to 90°, by angle:
2theta, intensity
13.45, 18
15.51, 74
19.43, 45
27.88, 100
36.71, 72
40.03, 19
42.78, 41
43.00, 15
48.34, 23
57.61, 17

---

For LiCa2Au, a GGA-PBE-relaxed structure gives the theoretical powder diffraction line list in this record (a wavelength of 1.5418 Å).

Structural model:
Lattice parameters (Å, degrees): 3.684 3.684 7.934 90.00 90.00 90.00
Positions (direct):
Li1 0.000 0.000 0.000
Ca1 0.000 0.000 0.365
Ca2 0.500 0.500 0.740
Au1 0.500 0.500 0.139

Principal peaks in the range 2θ from 10° to 90°, by angle:
2theta, intensity
11.15, 100
22.41, 22
24.16, 45
26.68, 53
33.19, 72
34.43, 42
36.30, 27
41.47, 19
42.06, 32
60.89, 25

---

For LiHf8N8O4, a GGA-PBE-relaxed structure gives the theoretical powder diffraction line list in this record (a wavelength of 1.5418 Å).

Structural model:
Lattice parameters (Å, degrees): 5.396 5.455 10.538 76.27 75.25 60.62
Positions (direct):
Li1 0.000 0.000 0.000
Hf1 0.024 0.101 0.759
Hf2 0.126 0.193 0.462
Hf3 0.283 0.321 0.037
Hf4 0.356 0.472 0.721
Hf5 0.497 0.604 0.277
Hf6 0.636 0.672 0.963
Hf7 0.773 0.807 0.540
Hf8 0.857 0.947 0.241
N1 0.049 0.359 0.880
N2 0.080 0.836 0.620
N3 0.124 0.595 0.381
N4 0.282 0.935 0.126
N5 0.329 0.696 0.872
N6 0.525 0.888 0.379
N7 0.609 0.330 0.118
N8 0.773 0.431 0.625
O1 0.382 0.147 0.621
O2 0.660 0.067 0.887
O3 0.822 0.216 0.369
O4 0.906 0.653 0.121

Principal peaks in the range 2θ from 10° to 90°, by angle:
2theta, intensity
22.40, 30
30.16, 100
30.51, 44
32.71, 52
32.85, 52
33.21, 52
44.57, 19
48.63, 22
49.44, 23
57.44, 24

---

For ZrHPd3, a GGA-PBE-relaxed structure gives the theoretical powder diffraction line list in this record (a wavelength of 1.5418 Å).

Structural model:
Lattice parameters (Å, degrees): 5.797 5.797 5.740 119.67 119.67 60.76
Positions (direct):
Zr1 0.236 0.236 0.237
Zr2 0.764 0.764 0.763
H1 0.500 0.500 0.000
H2 0.500 0.500 0.500
Pd1 0.247 0.752 0.749
Pd2 0.248 0.753 0.251
Pd3 0.249 0.249 0.749
Pd4 0.751 0.751 0.251
Pd5 0.752 0.247 0.749
Pd6 0.753 0.248 0.251

Principal peaks in the range 2θ from 10° to 90°, by angle:
2theta, intensity
37.74, 100
38.30, 96
44.19, 96
63.47, 11
64.29, 40
76.61, 24
77.07, 11
77.42, 11
77.67, 23
80.61, 10

---

For Y12Ho5Pu, a GGA-PBE-relaxed structure gives the theoretical powder diffraction line list in this record (a wavelength of 1.5418 Å).

Structural model:
Lattice parameters (Å, degrees): 6.176 6.176 17.365 93.40 93.40 119.98
Positions (direct):
Y1 0.055 0.725 0.666
Y2 0.111 0.444 0.834
Y3 0.223 0.223 0.166
Y4 0.275 0.945 0.334
Y5 0.385 0.385 0.666
Y6 0.444 0.111 0.834
Y7 0.556 0.889 0.166
Y8 0.615 0.615 0.334
Y9 0.725 0.055 0.666
Y10 0.777 0.777 0.834
Y11 0.889 0.556 0.166
Y12 0.945 0.275 0.334
Ho1 0.167 0.833 0.000
Ho2 0.333 0.667 0.500
Ho3 0.500 0.500 0.000
Ho4 0.667 0.333 0.500
Ho5 0.833 0.167 0.000
Pu1 0.000 0.000 0.500

Principal peaks in the range 2θ from 10° to 90°, by angle:
2theta, intensity
10.26, 45
29.74, 45
30.20, 48
31.12, 68
32.12, 100
33.80, 86
36.84, 28
37.97, 24
51.23, 50
61.17, 58